(1)
KTi2InO6: theoretical PXRD pattern (CuKα), based on a PBE-relaxed structure.
Lines closer than 0.1° are merged.

Structure:
a = 7.594 Å, b = 7.594 Å, c = 6.451 Å
α = 104.27°, β = 104.27°, γ = 102.35°
Fractional coordinates of all 20 atoms:
K 0.106 0.894 0.750
K 0.894 0.106 0.250
Ti 0.283 0.431 0.832
Ti 0.431 0.283 0.332
Ti 0.569 0.717 0.668
Ti 0.717 0.569 0.168
In 0.204 0.796 0.250
In 0.796 0.204 0.750
O 0.063 0.237 0.708
O 0.199 0.627 0.947
O 0.237 0.063 0.208
O 0.350 0.418 0.558
O 0.373 0.801 0.553
O 0.418 0.350 0.058
O 0.582 0.650 0.942
O 0.627 0.199 0.447
O 0.650 0.582 0.442
O 0.763 0.937 0.792
O 0.801 0.373 0.053
O 0.937 0.763 0.292

Most intense lines, 5 to 70 degrees two-theta, by angle:
5.466 Å, I 79
4.378 Å, I 68
4.189 Å, I 100
3.596 Å, I 57
3.519 Å, I 51
3.322 Å, I 63
3.049 Å, I 50
2.966 Å, I 40
2.876 Å, I 46
2.465 Å, I 50


(2)
Er5IrRh4: theoretical PXRD pattern (CuKα), based on a PBE-relaxed structure.
Lines closer than 0.1° are merged.

Structure:
a = 3.346 Å, b = 3.346 Å, c = 17.468 Å
α = 90.00°, β = 90.00°, γ = 90.00°
Fractional coordinates of all 10 atoms:
Er 0.000 0.000 0.000
Er 0.000 0.000 0.200
Er 0.000 0.000 0.400
Er 0.000 0.000 0.600
Er 0.000 0.000 0.800
Ir 0.500 0.500 0.500
Rh 0.500 0.500 0.100
Rh 0.500 0.500 0.299
Rh 0.500 0.500 0.701
Rh 0.500 0.500 0.900

Most intense lines, 5 to 70 degrees two-theta, by angle:
17.468 Å, I 6
8.734 Å, I 2
3.494 Å, I 1
3.346 Å, I 3
2.417 Å, I 100
2.366 Å, I 47
1.747 Å, I 9
1.673 Å, I 16
1.405 Å, I 18
1.376 Å, I 34


(3)
PmPu6Te8: theoretical PXRD pattern (CuKα), based on a PBE-relaxed structure.
Lines closer than 0.1° are merged.

Structure:
a = 8.867 Å, b = 8.867 Å, c = 8.867 Å
α = 60.00°, β = 60.00°, γ = 60.00°
Fractional coordinates of all 15 atoms:
Pm 0.000 0.000 0.000
Pu 0.000 0.000 0.500
Pu 0.000 0.500 0.000
Pu 0.000 0.500 0.500
Pu 0.500 0.000 0.000
Pu 0.500 0.000 0.500
Pu 0.500 0.500 0.000
Te 0.250 0.250 0.250
Te 0.254 0.254 0.746
Te 0.254 0.746 0.254
Te 0.254 0.746 0.746
Te 0.746 0.254 0.254
Te 0.746 0.254 0.746
Te 0.746 0.746 0.254
Te 0.750 0.750 0.750

Most intense lines, 5 to 70 degrees two-theta, by angle:
6.270 Å, I 8
4.434 Å, I 7
3.620 Å, I 9
3.135 Å, I 100
2.804 Å, I 5
2.217 Å, I 77
1.890 Å, I 5
1.810 Å, I 28
1.568 Å, I 13
1.402 Å, I 36


(4)
TbPr2Sm5: theoretical PXRD pattern (CuKα), based on a PBE-relaxed structure.
Lines closer than 0.1° are merged.

Structure:
a = 7.285 Å, b = 14.574 Å, c = 5.140 Å
α = 90.00°, β = 90.00°, γ = 90.00°
Fractional coordinates of all 16 atoms:
Tb 0.000 0.000 0.000
Tb 0.500 0.500 0.000
Pr 0.249 0.125 0.500
Pr 0.251 0.625 0.500
Pr 0.749 0.375 0.500
Pr 0.751 0.875 0.500
Sm 0.000 0.500 0.000
Sm 0.001 0.751 0.000
Sm 0.249 0.375 0.500
Sm 0.251 0.875 0.500
Sm 0.499 0.251 0.000
Sm 0.500 0.000 0.000
Sm 0.501 0.749 0.000
Sm 0.749 0.125 0.500
Sm 0.751 0.625 0.500
Sm 0.999 0.249 0.000

Most intense lines, 5 to 70 degrees two-theta, by angle:
2.972 Å, I 100
2.574 Å, I 51
1.820 Å, I 36
1.553 Å, I 29
1.550 Å, I 14
1.486 Å, I 12